Diffraction record for Co4AsP3. The XRD peak list is computed, not measured: it uses a cell relaxed with GGA-PBE and copper Kα.
Peak positions follow from Bragg's law for the DFT cell and can differ from measured ones.

Largest 8 diffraction maxima, low angle first, 2θ from 10° to 90°:
d = 2.859 Å, 2θ 31.29, intensity 45, (0 1 1); d = 2.492 Å, 2θ 36.04, intensity 52, (1 1 -1); d = 2.465 Å, 2θ 36.45, intensity 26, (1 0 2); d = 1.979 Å, 2θ 45.85, intensity 56, (1 1 -2); d = 1.900 Å, 2θ 47.88, intensity 100, (2 1 1); d = 1.891 Å, 2θ 48.13, intensity 23, (2 0 -2); d = 1.658 Å, 2θ 55.40, intensity 30, (0 2 0); d = 1.635 Å, 2θ 56.26, intensity 30, (0 1 3)

Cell and atoms:
```
Co4AsP3
1.0
5.0865 0.0000 0.0000
0.0000 3.3168 0.0000
-0.0139 0.0000 5.6381
Co As P
4 1 3
direct
0.0000 0.0000 0.0000
0.0035 0.5000 0.6242
0.4874 0.5000 0.5075
0.4925 0.0000 0.0977
0.8071 0.0000 0.3917
0.1966 0.5000 0.2175
0.3038 0.0000 0.7239
0.6925 0.5000 0.8890
```